For K3SbH3, a GGA-PBE-relaxed structure gives the calculated powder XRD pattern in this record (λ = 1.5418 Å (Cu Kα)).
Intensities are scaled so that the largest is 100.

Largest 6 diffraction maxima, in order of falling intensity, 15 to 90 degrees two-theta:
2θ 24.80, I = 100
2θ 28.82, I = 78
2θ 31.01, I = 68
2θ 19.31, I = 42
2θ 43.15, I = 35
2θ 24.02, I = 30

Structural model:
Cell: 9.2776 9.2776 9.2776 Å, 53.74 53.74 53.74°
Element x y z (fractional)
K 0.0944 0.5937 0.5937
K 0.4063 0.4063 0.9056
K 0.4063 0.9056 0.4063
K 0.5937 0.0944 0.5937
K 0.5937 0.5937 0.0944
K 0.9056 0.4063 0.4063
Sb 0.1223 0.1223 0.1223
Sb 0.8777 0.8777 0.8777
H 0.1623 0.7304 0.7304
H 0.2696 0.2696 0.8377
H 0.2696 0.8377 0.2696
H 0.7304 0.1623 0.7304
H 0.7304 0.7304 0.1623
H 0.8377 0.2696 0.2696

For Ca2MgZn7, a GGA-PBE-relaxed structure gives the calculated powder XRD pattern in this record (λ = 1.5418 Å (Cu Kα)).
Intensities are scaled so that the largest is 100.

Largest 6 diffraction maxima, in order of falling intensity, 15 to 90 degrees two-theta:
2θ 34.22, I = 100
2θ 43.55, I = 63
2θ 43.92, I = 57
2θ 22.73, I = 39
2θ 44.83, I = 39
2θ 31.65, I = 38

Structural model:
Cell: 4.1563 4.1563 11.5684 Å, 90.00 90.00 90.00°
Element x y z (fractional)
Ca 0.0000 0.5000 0.2406
Ca 0.5000 0.0000 0.7594
Mg 0.0000 0.0000 0.5000
Zn 0.0000 0.0000 0.0000
Zn 0.0000 0.5000 0.6489
Zn 0.0000 0.5000 0.8645
Zn 0.5000 0.0000 0.1355
Zn 0.5000 0.0000 0.3511
Zn 0.5000 0.5000 0.0000
Zn 0.5000 0.5000 0.5000